Diffraction record for Ba2CeNpSe6. The powder diffraction line list is simulated, not measured: it uses the PBE geometry in Alexandria and copper Kα.
Lines closer than 0.1° are merged.

Cell and atoms:
Unit cell a=7.5013 b=7.9290 c=13.2169 alpha=90.00 beta=124.53 gamma=90.00
Atoms (fractional coordinates):
Ba 0.2278 0.0720 0.2501
Ba 0.2278 0.4280 0.7501
Ba 0.7722 0.5720 0.2499
Ba 0.7722 0.9280 0.7499
Ce 0.5000 0.0000 0.0000
Ce 0.5000 0.5000 0.5000
Np 0.0000 0.0000 0.5000
Np 0.0000 0.5000 0.0000
Se 0.1457 0.2031 0.9515
Se 0.1457 0.2969 0.4515
Se 0.2516 0.6978 0.9516
Se 0.2516 0.8022 0.4516
Se 0.3390 0.0215 0.7475
Se 0.3390 0.4785 0.2475
Se 0.6610 0.5215 0.7525
Se 0.6610 0.9785 0.2525
Se 0.7484 0.1978 0.5484
Se 0.7484 0.3022 0.0484
Se 0.8543 0.7031 0.5485
Se 0.8543 0.7969 0.0485

Peak list (10 most intense, 10 to 90 degrees two-theta, sorted by position)
two_theta  Rel. int.
16.3  41
22.4  23
23.1  93
23.7  21
32.9  100
36.0  21
36.9  25
40.2  20
41.3  47
47.2  31

---

Diffraction record for SrMg2Ga2N4. The powder diffraction line list is simulated, not measured: it uses the PBE geometry in Alexandria and copper Kα.
Lines closer than 0.1° are merged.

Cell and atoms:
Unit cell a=6.1755 b=6.1755 c=8.3970 alpha=132.76 beta=132.76 gamma=31.65
Atoms (fractional coordinates):
Sr 0.0000 0.0000 0.0000
Mg 0.3568 0.3568 0.1831
Mg 0.8163 0.8163 0.4514
Ga 0.1798 0.1798 0.5437
Ga 0.6255 0.6255 0.8217
N 0.2137 0.2137 0.8078
N 0.4011 0.4011 0.6530
N 0.5936 0.5936 0.3619
N 0.7379 0.7379 0.1423

Peak list (10 most intense, 10 to 90 degrees two-theta, sorted by position)
two_theta  Rel. int.
14.9  16
21.1  12
28.6  12
33.7  60
35.8  100
48.4  20
54.5  10
61.6  20
61.7  15
65.6  17

---

Diffraction record for BeNi9Ge2. The powder diffraction line list is simulated, not measured: it uses the PBE geometry in Alexandria and copper Kα.
Lines closer than 0.1° are merged.

Cell and atoms:
Unit cell a=3.5475 b=3.5475 c=10.5073 alpha=90.00 beta=90.00 gamma=90.00
Atoms (fractional coordinates):
Be 0.0000 0.0000 0.0000
Ni 0.0000 0.5000 0.1564
Ni 0.0000 0.5000 0.5000
Ni 0.0000 0.5000 0.8436
Ni 0.5000 0.0000 0.1564
Ni 0.5000 0.0000 0.5000
Ni 0.5000 0.0000 0.8436
Ni 0.5000 0.5000 0.0000
Ni 0.5000 0.5000 0.3299
Ni 0.5000 0.5000 0.6701
Ge 0.0000 0.0000 0.3264
Ge 0.0000 0.0000 0.6736

Peak list (10 most intense, 10 to 90 degrees two-theta, sorted by position)
two_theta  Rel. int.
26.5  3
30.4  3
36.8  2
39.8  3
44.4  100
51.5  32
52.2  15
75.9  9
76.4  17
83.0  2

---

Diffraction record for Li2AcAl. The powder diffraction line list is simulated, not measured: it uses the PBE geometry in Alexandria and copper Kα.
Lines closer than 0.1° are merged.

Cell and atoms:
Unit cell a=7.1952 b=7.1952 c=7.1952 alpha=90.00 beta=90.00 gamma=90.00
Atoms (fractional coordinates):
Li 0.2500 0.2500 0.2500
Li 0.2500 0.2500 0.7500
Li 0.2500 0.7500 0.2500
Li 0.2500 0.7500 0.7500
Li 0.7500 0.2500 0.2500
Li 0.7500 0.2500 0.7500
Li 0.7500 0.7500 0.2500
Li 0.7500 0.7500 0.7500
Ac 0.0000 0.0000 0.0000
Ac 0.0000 0.5000 0.5000
Ac 0.5000 0.0000 0.5000
Ac 0.5000 0.5000 0.0000
Al 0.0000 0.0000 0.5000
Al 0.0000 0.5000 0.0000
Al 0.5000 0.0000 0.0000
Al 0.5000 0.5000 0.5000

Peak list (10 most intense, 10 to 90 degrees two-theta, sorted by position)
two_theta  Rel. int.
21.4  100
24.7  82
35.3  78
41.6  56
43.6  25
55.7  25
57.3  34
63.3  29
67.7  19
78.7  19

---

Diffraction record for La3Nd4Y2. The powder diffraction line list is simulated, not measured: it uses the PBE geometry in Alexandria and copper Kα.
Lines closer than 0.1° are merged.

Cell and atoms:
Unit cell a=3.6627 b=3.6627 c=27.5156 alpha=90.00 beta=90.00 gamma=120.00
Atoms (fractional coordinates):
La 0.0000 0.0000 0.0000
La 0.0000 0.0000 0.3357
La 0.6667 0.3333 0.6704
Nd 0.0000 0.0000 0.5579
Nd 0.0000 0.0000 0.7841
Nd 0.6667 0.3333 0.2278
Nd 0.6667 0.3333 0.4502
Y 0.6667 0.3333 0.1051
Y 0.6667 0.3333 0.8882

Peak list (10 most intense, 10 to 90 degrees two-theta, sorted by position)
two_theta  Rel. int.
28.1  50
29.2  57
31.0  89
32.6  100
41.0  34
49.8  41
55.0  27
58.8  47
60.8  17
82.1  16

---

Diffraction record for Pr3Nd3Zn2. The powder diffraction line list is simulated, not measured: it uses the PBE geometry in Alexandria and copper Kα.
Lines closer than 0.1° are merged.

Cell and atoms:
Unit cell a=6.4804 b=6.4804 c=15.8440 alpha=90.00 beta=90.00 gamma=132.47
Atoms (fractional coordinates):
Pr 0.0281 0.9719 0.6091
Pr 0.0281 0.9719 0.8909
Pr 0.2765 0.7235 0.7500
Pr 0.7235 0.2765 0.2500
Pr 0.9719 0.0281 0.1091
Pr 0.9719 0.0281 0.3909
Nd 0.3506 0.6494 0.5232
Nd 0.3506 0.6494 0.9768
Nd 0.4483 0.5517 0.2500
Nd 0.5517 0.4483 0.7500
Nd 0.6494 0.3506 0.0232
Nd 0.6494 0.3506 0.4768
Zn 0.2318 0.7682 0.1440
Zn 0.2318 0.7682 0.3560
Zn 0.7682 0.2318 0.6440
Zn 0.7682 0.2318 0.8560

Peak list (10 most intense, 10 to 90 degrees two-theta, sorted by position)
two_theta  Rel. int.
28.3  34
29.3  100
30.5  31
30.7  23
32.2  16
33.1  48
33.9  30
34.3  50
40.4  16
58.4  33

---

Diffraction record for PuHg2BiO6. The powder diffraction line list is simulated, not measured: it uses the PBE geometry in Alexandria and copper Kα.
Lines closer than 0.1° are merged.

Cell and atoms:
Unit cell a=6.0668 b=6.0668 c=4.4615 alpha=90.00 beta=90.00 gamma=90.00
Atoms (fractional coordinates):
Pu 0.0000 0.0000 0.0000
Hg 0.0000 0.5000 0.5012
Hg 0.5000 0.0000 0.5012
Bi 0.5000 0.5000 0.0009
O 0.0000 0.0000 0.4998
O 0.2287 0.2287 0.9999
O 0.2287 0.7713 0.9999
O 0.5000 0.5000 0.5008
O 0.7713 0.2287 0.9999
O 0.7713 0.7713 0.9999

Peak list (10 most intense, 10 to 90 degrees two-theta, sorted by position)
two_theta  Rel. int.
28.9  100
29.4  48
40.4  14
42.1  25
50.8  22
51.9  41
59.8  17
82.0  12
83.4  12
84.2  11

---

Diffraction record for TbPmIr4. The powder diffraction line list is simulated, not measured: it uses the PBE geometry in Alexandria and copper Kα.
Lines closer than 0.1° are merged.

Cell and atoms:
Unit cell a=5.3970 b=5.3970 c=5.3970 alpha=60.00 beta=60.00 gamma=60.00
Atoms (fractional coordinates):
Tb 0.0000 0.0000 0.0000
Pm 0.2500 0.2500 0.2500
Ir 0.1247 0.6251 0.6251
Ir 0.6251 0.1247 0.6251
Ir 0.6251 0.6251 0.1247
Ir 0.6251 0.6251 0.6251

Peak list (10 most intense, 10 to 90 degrees two-theta, sorted by position)
two_theta  Rel. int.
20.2  13
33.2  21
39.1  100
41.0  48
47.7  8
59.3  8
63.3  33
69.7  30
83.0  12
84.1  19

---

Diffraction record for Np3Se5. The powder diffraction line list is simulated, not measured: it uses the PBE geometry in Alexandria and copper Kα.
Lines closer than 0.1° are merged.

Cell and atoms:
Unit cell a=12.0808 b=8.2581 c=7.6893 alpha=90.00 beta=90.00 gamma=90.00
Atoms (fractional coordinates):
Np 0.0089 0.2500 0.0801
Np 0.1801 0.0019 0.5188
Np 0.1801 0.4981 0.5188
Np 0.3199 0.5019 0.0188
Np 0.3199 0.9981 0.0188
Np 0.4911 0.7500 0.5801
Np 0.5089 0.2500 0.4199
Np 0.6801 0.0019 0.9812
Np 0.6801 0.4981 0.9812
Np 0.8199 0.5019 0.4812
Np 0.8199 0.9981 0.4812
Np 0.9911 0.7500 0.9199
Se 0.9995 0.2500 0.4648
Se 0.0005 0.7500 0.5352
Se 0.0971 0.5491 0.1677
Se 0.0971 0.9509 0.1677
Se 0.1864 0.2500 0.8276
Se 0.2187 0.7500 0.7955
Se 0.2813 0.2500 0.2955
Se 0.3136 0.7500 0.3276
Se 0.4029 0.0491 0.6677
Se 0.4029 0.4509 0.6677
Se 0.4995 0.2500 0.0352
Se 0.5005 0.7500 0.9648
Se 0.5971 0.5491 0.3323
Se 0.5971 0.9509 0.3323
Se 0.6864 0.2500 0.6724
Se 0.7187 0.7500 0.7045
Se 0.7813 0.2500 0.2045
Se 0.8136 0.7500 0.1724
Se 0.9029 0.0491 0.8323
Se 0.9029 0.4509 0.8323

Peak list (10 most intense, 10 to 90 degrees two-theta, sorted by position)
two_theta  Rel. int.
23.1  40
25.0  82
25.6  51
26.1  55
33.2  41
35.2  100
36.9  37
43.9  37
45.0  65
51.2  47

---

Diffraction record for PmPrSn. The powder diffraction line list is simulated, not measured: it uses the PBE geometry in Alexandria and copper Kα.
Lines closer than 0.1° are merged.

Cell and atoms:
Unit cell a=5.5741 b=5.5741 c=6.7581 alpha=90.00 beta=90.00 gamma=120.00
Atoms (fractional coordinates):
Pm 0.3333 0.6667 0.2500
Pm 0.6667 0.3333 0.7500
Pr 0.0000 0.0000 0.0000
Pr 0.0000 0.0000 0.5000
Sn 0.3333 0.6667 0.7500
Sn 0.6667 0.3333 0.2500

Peak list (10 most intense, 10 to 90 degrees two-theta, sorted by position)
two_theta  Rel. int.
32.1  100
32.3  89
42.0  9
46.2  33
57.3  19
57.4  35
64.5  27
67.2  12
76.5  15
82.8  14

---

Diffraction record for MgTl4Sn4. The powder diffraction line list is simulated, not measured: it uses the PBE geometry in Alexandria and copper Kα.
Lines closer than 0.1° are merged.

Cell and atoms:
Unit cell a=7.6698 b=7.6698 c=7.6698 alpha=95.81 beta=95.81 gamma=142.90
Atoms (fractional coordinates):
Mg 0.0000 0.0000 0.0000
Tl 0.0000 0.3235 0.3235
Tl 0.0000 0.6765 0.6765
Tl 0.3235 0.0000 0.3235
Tl 0.6765 0.0000 0.6765
Sn 0.3437 0.3437 0.6875
Sn 0.3437 0.6563 0.0000
Sn 0.6563 0.3437 0.0000
Sn 0.6563 0.6563 0.3125

Peak list (10 most intense, 10 to 90 degrees two-theta, sorted by position)
two_theta  Rel. int.
26.6  16
31.9  100
36.8  18
37.1  33
53.3  24
53.5  11
63.3  15
63.6  26
66.7  12
87.4  12

---

Diffraction record for Na2Ge3Au5. The powder diffraction line list is simulated, not measured: it uses the PBE geometry in Alexandria and copper Kα.
Lines closer than 0.1° are merged.

Cell and atoms:
Unit cell a=8.9949 b=8.9949 c=8.9949 alpha=109.12 beta=84.27 gamma=140.57
Atoms (fractional coordinates):
Na 0.1410 0.2328 0.3738
Na 0.3590 0.7328 0.0918
Na 0.6410 0.2672 0.9082
Na 0.8590 0.7672 0.6262
Ge 0.1435 0.9041 0.0476
Ge 0.2500 0.7500 0.5000
Ge 0.3565 0.4041 0.7606
Ge 0.6435 0.5959 0.2394
Ge 0.7500 0.2500 0.5000
Ge 0.8565 0.0959 0.9524
Au 0.0326 0.7500 0.2826
Au 0.0897 0.6748 0.7645
Au 0.2500 0.2500 0.0000
Au 0.4103 0.1748 0.5850
Au 0.4674 0.7500 0.7174
Au 0.5326 0.2500 0.2826
Au 0.5897 0.8252 0.4150
Au 0.7500 0.7500 0.0000
Au 0.9103 0.3252 0.2355
Au 0.9674 0.2500 0.7174

Peak list (10 most intense, 10 to 90 degrees two-theta, sorted by position)
two_theta  Rel. int.
17.0  59
21.6  100
31.8  81
34.2  90
36.9  37
40.2  69
44.1  26
45.9  37
48.6  25
63.6  27

---

Diffraction record for Sr2GaPd6Pb. The powder diffraction line list is simulated, not measured: it uses the PBE geometry in Alexandria and copper Kα.
Lines closer than 0.1° are merged.

Cell and atoms:
Unit cell a=5.6674 b=6.7722 c=7.0877 alpha=78.85 beta=66.47 gamma=65.39
Atoms (fractional coordinates):
Sr 0.2459 0.2857 0.2222
Sr 0.7541 0.7143 0.7778
Ga 0.5000 0.5000 0.5000
Pd 0.2453 0.7461 0.2689
Pd 0.2572 0.9030 0.5896
Pd 0.2591 0.2563 0.7341
Pd 0.7409 0.7437 0.2659
Pd 0.7428 0.0970 0.4104
Pd 0.7547 0.2539 0.7311
Pb 0.0000 0.0000 0.0000

Peak list (10 most intense, 10 to 90 degrees two-theta, sorted by position)
two_theta  Rel. int.
14.4  55
18.6  48
26.7  47
27.5  47
27.9  62
37.4  49
37.8  100
39.0  61
39.7  85
40.8  52